Starting from a crystal structure in the Materials Project, relaxed with GGA-PBE, the X-ray diffraction stick pattern of MgSi2 was computed for copper Kα.
Neutral-atom scattering factors, no anomalous dispersion.

Principal peaks in the range 2θ from 15° to 90°, by angle:
| 2theta | I_rel | h k l |
| --- | --- | --- |
| 16.8 | 92 | 0 1 -1 |
| 24.6 | 51 | 1 -1 0 |
| 26.7 | 59 | 0 1 2 |
| 29.7 | 55 | 1 1 -2 |
| 30.7 | 62 | 1 -1 2 |
| 34.7 | 53 | 0 1 3 |
| 36.6 | 91 | 1 -2 1 |
| 36.9 | 97 | 0 1 -4 |
| 38.3 | 58 | -1 2 1 |
| 42.4 | 100 | 2 0 0 |
| 44.9 | 47 | 1 2 1 |
| 45.8 | 47 | -2 1 2 |

Atomic structure:
abc: 4.347 5.653 10.129
angles: 100.79 97.95 96.38
Space group P1 (No. 1)
Symmetry-distinct sites (fractional):
Mg: 0.000 0.000 0.000 [1 per cell]
Mg: 0.018 0.756 0.363 [1 per cell]
Mg: 0.411 0.082 0.742 [1 per cell]
Mg: 0.453 0.483 0.534 [1 per cell]
Si: 0.048 0.274 0.271 [1 per cell]
Si: 0.413 0.707 0.867 [1 per cell]
Si: 0.478 0.695 0.105 [1 per cell]
Si: 0.528 0.064 0.275 [1 per cell]
Si: 0.598 0.940 0.492 [1 per cell]
Si: 0.874 0.494 0.847 [1 per cell]
Si: 0.946 0.280 0.630 [1 per cell]
Si: 0.952 0.492 0.089 [1 per cell]

Starting from a crystal structure in the Materials Project, relaxed with GGA-PBE, the X-ray diffraction stick pattern of Cs2RbYF6 was computed for copper Kα.
Neutral-atom scattering factors, no anomalous dispersion.

Principal peaks in the range 2θ from 15° to 90°, by angle:
| 2theta | I_rel | h k l |
| --- | --- | --- |
| 25.6 | 100 | 2 2 0 |
| 31.5 | 9 | 2 2 2 |
| 36.6 | 36 | 4 0 0 |
| 45.2 | 41 | 4 2 2 |
| 52.7 | 23 | 4 4 0 |
| 59.5 | 20 | 6 2 0 |
| 62.7 | 3 | 6 2 2 |
| 65.9 | 7 | 4 4 4 |
| 71.9 | 23 | 6 4 2 |
| 77.8 | 3 | 8 0 0 |
| 83.5 | 11 | 6 6 0 |
| 89.2 | 9 | 8 4 0 |

Atomic structure:
abc: 9.824 9.824 9.824
angles: 90.00 90.00 90.00
Space group Fm-3m (No. 225)
Symmetry-distinct sites (fractional):
Cs: 0.250 0.250 0.250 [8 per cell]
Rb: 0.000 0.000 0.000 [4 per cell]
Y: 0.000 0.000 0.500 [4 per cell]
F: 0.000 0.000 0.276 [24 per cell]

Starting from a crystal structure in the Materials Project, relaxed with GGA-PBE, the X-ray diffraction stick pattern of BaSm2S4 was computed for copper Kα.
Neutral-atom scattering factors, no anomalous dispersion.

Principal peaks in the range 2θ from 15° to 90°, by angle:
| 2theta | I_rel | h k l |
| --- | --- | --- |
| 23.9 | 45 | 0 0 4 |
| 24.7 | 100 | 3 0 2 |
| 25.6 | 67 | 1 1 2 |
| 25.9 | 35 | 2 1 0 |
| 29.0 | 36 | 1 1 3 |
| 35.5 | 41 | 2 1 4 |
| 36.3 | 30 | 4 1 0 |
| 39.2 | 21 | 2 0 6 |
| 43.7 | 27 | 0 2 0 |
| 43.9 | 45 | 6 0 0 |
| 44.4 | 20 | 5 1 2 |
| 50.8 | 29 | 3 2 2 |

Atomic structure:
abc: 12.359 4.146 14.865
angles: 90.00 90.00 90.00
Space group Pnma (No. 62)
Symmetry-distinct sites (fractional):
Ba: 0.245 0.250 0.159 [4 per cell]
Sm: 0.075 0.250 0.393 [4 per cell]
Sm: 0.076 0.250 0.896 [4 per cell]
S: 0.017 0.750 0.783 [4 per cell]
S: 0.077 0.250 0.579 [4 per cell]
S: 0.130 0.750 0.021 [4 per cell]
S: 0.210 0.750 0.328 [4 per cell]

Starting from a crystal structure in the Materials Project, relaxed with GGA-PBE, the X-ray diffraction stick pattern of KLaCeHfO6 was computed for copper Kα.
Neutral-atom scattering factors, no anomalous dispersion.

Principal peaks in the range 2θ from 15° to 90°, by angle:
| 2theta | I_rel | h k l |
| --- | --- | --- |
| 18.0 | 11 | 1 1 1 |
| 20.8 | 17 | 2 0 0 |
| 29.5 | 100 | 2 2 0 |
| 34.8 | 6 | 3 1 1 |
| 42.3 | 31 | 4 0 0 |
| 47.5 | 7 | 4 2 0 |
| 52.4 | 41 | 4 2 2 |
| 61.3 | 19 | 4 4 0 |
| 65.5 | 3 | 6 0 0 |
| 69.5 | 18 | 6 2 0 |
| 77.3 | 6 | 4 4 4 |
| 84.8 | 21 | 6 4 2 |

Atomic structure:
abc: 8.552 8.552 8.552
angles: 90.00 90.00 90.00
Space group F-43m (No. 216)
Symmetry-distinct sites (fractional):
K: 0.000 0.000 0.000 [4 per cell]
La: 0.000 0.000 0.500 [4 per cell]
Ce: 0.250 0.250 0.750 [4 per cell]
Hf: 0.250 0.250 0.250 [4 per cell]
O: 0.008 0.250 0.250 [24 per cell]

Starting from a crystal structure in the Materials Project, relaxed with GGA-PBE, the X-ray diffraction stick pattern of SrCaSi was computed for copper Kα.
Neutral-atom scattering factors, no anomalous dispersion.

Principal peaks in the range 2θ from 15° to 90°, by angle:
| 2theta | I_rel | h k l |
| --- | --- | --- |
| 20.5 | 22 | 0 1 1 |
| 28.5 | 21 | 2 1 0 |
| 28.8 | 97 | 1 1 2 |
| 29.5 | 24 | 2 0 2 |
| 30.2 | 100 | 2 1 1 |
| 31.4 | 36 | 1 0 3 |
| 34.6 | 48 | 0 1 3 |
| 36.4 | 44 | 0 2 0 |
| 48.8 | 20 | 1 2 3 |
| 51.2 | 22 | 1 0 5 |
| 55.9 | 24 | 3 1 4 |
| 61.0 | 19 | 1 3 2 |

Atomic structure:
abc: 8.100 4.933 9.144
angles: 90.00 90.00 90.00
Space group Pnma (No. 62)
Symmetry-distinct sites (fractional):
Sr: 0.022 0.250 0.178 [4 per cell]
Ca: 0.147 0.250 0.573 [4 per cell]
Si: 0.233 0.750 0.393 [4 per cell]

Starting from a crystal structure in the Materials Project, relaxed with GGA-PBE, the X-ray diffraction stick pattern of Ta4V was computed for copper Kα.
Neutral-atom scattering factors, no anomalous dispersion.

Principal peaks in the range 2θ from 15° to 90°, by angle:
| 2theta | I_rel | h k l |
| --- | --- | --- |
| 16.5 | 15 | 1 1 1 |
| 27.1 | 7 | 2 2 0 |
| 33.3 | 100 | 2 2 2 |
| 38.7 | 39 | 4 0 0 |
| 42.3 | 23 | 3 3 1 |
| 51.0 | 33 | 3 3 3 |
| 55.9 | 28 | 4 4 0 |
| 66.6 | 21 | 6 2 2 |
| 70.0 | 5 | 4 4 4 |
| 72.5 | 16 | 5 5 1 |
| 79.0 | 12 | 7 3 1 |
| 85.3 | 12 | 7 3 3 |

Atomic structure:
abc: 9.311 9.311 9.311
angles: 90.00 90.00 90.00
Space group Fd-3m (No. 227, origin choice 2)
Symmetry-distinct sites (fractional):
Ta: 0.021 0.021 0.229 [32 per cell]
V: 0.125 0.125 0.625 [8 per cell]

Starting from a crystal structure in the Materials Project, relaxed with GGA-PBE, the X-ray diffraction stick pattern of SrC2 was computed for copper Kα.
Neutral-atom scattering factors, no anomalous dispersion.

Principal peaks in the range 2θ from 15° to 90°, by angle:
| 2theta | I_rel | h k l |
| --- | --- | --- |
| 25.2 | 100 | 1 0 1 |
| 26.2 | 47 | 0 0 2 |
| 30.6 | 80 | 1 1 0 |
| 40.7 | 55 | 1 1 2 |
| 43.8 | 28 | 2 0 0 |
| 45.6 | 36 | 1 0 3 |
| 51.3 | 33 | 2 1 1 |
| 51.8 | 27 | 2 0 2 |
| 65.1 | 24 | 2 1 3 |
| 72.4 | 12 | 3 1 0 |
| 78.4 | 15 | 3 1 2 |
| 89.3 | 14 | 2 1 5 |

Atomic structure:
abc: 4.130 4.130 6.815
angles: 90.00 90.00 90.00
Space group I4/mmm (No. 139)
Symmetry-distinct sites (fractional):
Sr: 0.000 0.000 0.000 [2 per cell]
C: 0.000 0.000 0.407 [4 per cell]

Starting from a crystal structure in the Materials Project, relaxed with GGA-PBE, the X-ray diffraction stick pattern of K3H5Pt was computed for copper Kα.
Neutral-atom scattering factors, no anomalous dispersion.

Principal peaks in the range 2θ from 15° to 90°, by angle:
| 2theta | I_rel | h k l |
| --- | --- | --- |
| 15.3 | 28 | 0 0 1 |
| 16.8 | 56 | 1 1 0 |
| 22.8 | 39 | 1 1 1 |
| 23.9 | 29 | 2 0 0 |
| 28.5 | 100 | 2 0 1 |
| 30.9 | 30 | 0 0 2 |
| 34.0 | 28 | 2 2 0 |
| 35.4 | 17 | 1 1 2 |
| 37.5 | 22 | 2 2 1 |
| 41.3 | 32 | 3 1 1 |
| 46.6 | 23 | 2 2 2 |
| 57.5 | 17 | 4 2 1 |

Atomic structure:
abc: 7.459 7.459 5.780
angles: 90.00 90.00 90.00
Space group P4/mbm (No. 127)
Symmetry-distinct sites (fractional):
K: 0.000 0.000 0.000 [2 per cell]
K: 0.185 0.315 0.500 [4 per cell]
H: 0.000 0.000 0.500 [2 per cell]
H: 0.113 0.613 0.200 [8 per cell]
Pt: 0.000 0.500 0.000 [2 per cell]

Starting from a crystal structure in the Materials Project, relaxed with GGA-PBE, the X-ray diffraction stick pattern of Sm2MgTi2Cl2O6 was computed for copper Kα.
Neutral-atom scattering factors, no anomalous dispersion.

Principal peaks in the range 2θ from 15° to 90°, by angle:
| 2theta | I_rel | h k l |
| --- | --- | --- |
| 18.0 | 22 | 0 0 2 |
| 19.1 | 58 | 2 0 0 |
| 21.9 | 23 | 2 0 -2 |
| 23.6 | 21 | 2 0 1 |
| 24.0 | 100 | 1 1 -1 |
| 27.1 | 24 | 0 0 3 |
| 33.7 | 37 | 1 1 -3 |
| 35.0 | 53 | 3 1 -1 |
| 35.6 | 36 | 2 0 -4 |
| 42.7 | 21 | 4 0 1 |
| 43.4 | 34 | 0 2 0 |
| 44.7 | 37 | 4 0 -4 |

Atomic structure:
abc: 9.749 4.169 10.361
angles: 90.00 107.85 90.00
Space group Cm (No. 8)
Symmetry-distinct sites (fractional):
Sm: 0.000 0.000 0.000 [2 per cell]
Sm: 0.086 0.500 0.591 [2 per cell]
Mg: 0.360 0.500 0.402 [2 per cell]
Ti: 0.137 0.000 0.332 [2 per cell]
Ti: 0.426 0.000 0.228 [2 per cell]
Cl: 0.167 0.500 0.882 [2 per cell]
Cl: 0.395 0.500 0.690 [2 per cell]
O: 0.083 0.000 0.508 [2 per cell]
O: 0.144 0.500 0.364 [2 per cell]
O: 0.200 0.000 0.174 [2 per cell]
O: 0.370 0.000 0.422 [2 per cell]
O: 0.423 0.500 0.225 [2 per cell]
O: 0.441 0.000 0.048 [2 per cell]

Starting from a crystal structure in the Materials Project, relaxed with GGA-PBE, the X-ray diffraction stick pattern of SmP2Ru2 was computed for copper Kα.
Neutral-atom scattering factors, no anomalous dispersion.

Principal peaks in the range 2θ from 15° to 90°, by angle:
| 2theta | I_rel | h k l |
| --- | --- | --- |
| 23.7 | 26 | 1 0 1 |
| 35.2 | 33 | 1 0 3 |
| 36.2 | 100 | 1 1 2 |
| 36.7 | 17 | 0 0 4 |
| 44.5 | 38 | 2 0 0 |
| 51.8 | 10 | 1 0 5 |
| 58.0 | 15 | 2 1 3 |
| 59.0 | 17 | 2 0 4 |
| 64.7 | 12 | 2 2 0 |
| 65.7 | 18 | 1 1 6 |
| 70.6 | 8 | 2 1 5 |
| 76.5 | 22 | 3 1 2 |

Atomic structure:
abc: 4.073 4.073 9.797
angles: 90.00 90.00 90.00
Space group I4/mmm (No. 139)
Symmetry-distinct sites (fractional):
Sm: 0.000 0.000 0.000 [2 per cell]
P: 0.000 0.000 0.372 [4 per cell]
Ru: 0.000 0.500 0.250 [4 per cell]